The following is a theoretical powder XRD pattern of CsK2CdGe. It was derived from a crystal structure in Alexandria, relaxed with PBE, using Cu Kα.
Kinematic intensities with the Lorentz-polarization factor, no thermal factor.

Atomic structure:
abc: 6.748 6.748 5.319
angles: 90.00 90.00 90.00
Positions (direct):
Cs 0.000 0.000 0.000
K 0.000 0.500 0.500
K 0.500 0.000 0.500
Cd 0.500 0.500 0.000
Ge 0.500 0.500 0.500

Peak list (8 most intense, 2θ = 5–70°, sorted by position)
- 18.60°, intensity 79, (1 1 0)
- 25.07°, intensity 90, (1 1 1)
- 26.42°, intensity 100, (2 0 0)
- 37.71°, intensity 38, (2 2 0)
- 43.32°, intensity 50, (2 0 2)
- 45.82°, intensity 33, (3 1 1)
- 51.46°, intensity 30, (2 2 2)
- 55.21°, intensity 27, (3 1 2)